[1]
For BaSr2Zr, a cell relaxed with GGA-PBE gives the simulated powder XRD pattern in this record (λ = 1.5418 Å (Cu Kα)).
Lines closer than 0.1° are merged.

Principal peaks in the range 10° ≤ 2θ ≤ 80°, in order of rising 2θ:
2θ 28.33, d 3.150, I 690
2θ 28.75, d 3.105, I 343
2θ 28.98, d 3.082, I 1000
2θ 40.71, d 2.217, I 120
2θ 41.25, d 2.188, I 254
2θ 50.27, d 1.815, I 134
2θ 50.72, d 1.800, I 127
2θ 50.92, d 1.793, I 132
2θ 51.35, d 1.779, I 194
2θ 51.49, d 1.775, I 132
2θ 58.61, d 1.575, I 78
2θ 60.08, d 1.540, I 78

Atomic structure:
```
data_BaSr2Zr
_chemical_formula_sum 'Ba1 Sr2 Zr1'
_space_group_name_H-M_alt 'P 1'
_space_group_IT_number 1
_cell_length_a 3.7589
_cell_length_b 6.1693
_cell_length_c 7.4324
_cell_angle_alpha 90.00
_cell_angle_beta 99.60
_cell_angle_gamma 90.00
loop_
_space_group_symop_operation_xyz
'x,y,z'
loop_
_atom_site_label
_atom_site_type_symbol
_atom_site_fract_x
_atom_site_fract_y
_atom_site_fract_z
Ba1 Ba 0.0000 0.0000 0.0000
Sr1 Sr 0.2584 0.5000 0.7276
Sr2 Sr 0.7416 0.5000 0.2724
Zr1 Zr 0.5000 0.0000 0.5000
```


[2]
For BaSrZr2, a cell relaxed with GGA-PBE gives the simulated powder XRD pattern in this record (λ = 1.5418 Å (Cu Kα)).
Lines closer than 0.1° are merged.

Principal peaks in the range 10° ≤ 2θ ≤ 80°, in order of rising 2θ:
2θ 23.35, d 3.810, I 178
2θ 26.67, d 3.342, I 97
2θ 29.97, d 2.982, I 1000
2θ 34.83, d 2.576, I 127
2θ 36.35, d 2.471, I 376
2θ 43.66, d 2.073, I 133
2θ 47.53, d 1.913, I 200
2θ 48.71, d 1.869, I 106
2θ 52.35, d 1.748, I 129
2θ 61.46, d 1.509, I 129
2θ 61.55, d 1.507, I 124
2θ 73.38, d 1.290, I 109

Atomic structure:
```
data_BaSrZr2
_chemical_formula_sum 'Ba2 Sr2 Zr4'
_space_group_name_H-M_alt 'P 1'
_space_group_IT_number 1
_cell_length_a 4.9379
_cell_length_b 4.9475
_cell_length_c 11.4303
_cell_angle_alpha 90.00
_cell_angle_beta 90.00
_cell_angle_gamma 90.00
loop_
_space_group_symop_operation_xyz
'x,y,z'
loop_
_atom_site_label
_atom_site_type_symbol
_atom_site_fract_x
_atom_site_fract_y
_atom_site_fract_z
Ba1 Ba 0.0000 0.0000 0.0000
Ba2 Ba 0.5000 0.5000 0.0000
Sr1 Sr 0.0000 0.5000 0.6808
Sr2 Sr 0.5000 0.0000 0.6808
Zr1 Zr 0.0000 0.0000 0.4291
Zr2 Zr 0.0000 0.5000 0.2649
Zr3 Zr 0.5000 0.0000 0.2649
Zr4 Zr 0.5000 0.5000 0.4291
```


[3]
For BaSr4Zr, a cell relaxed with GGA-PBE gives the simulated powder XRD pattern in this record (λ = 1.5418 Å (Cu Kα)).
Lines closer than 0.1° are merged.

Principal peaks in the range 10° ≤ 2θ ≤ 80°, in order of rising 2θ:
2θ 23.80, d 3.738, I 337
2θ 27.99, d 3.188, I 1000
2θ 29.26, d 3.052, I 331
2θ 41.86, d 2.158, I 148
2θ 44.53, d 2.035, I 371
2θ 48.72, d 1.869, I 313
2θ 54.93, d 1.672, I 66
2θ 57.13, d 1.612, I 131
2θ 57.85, d 1.594, I 141
2θ 66.14, d 1.413, I 75
2θ 68.13, d 1.376, I 232
2θ 78.32, d 1.221, I 122

Atomic structure:
```
data_BaSr4Zr
_chemical_formula_sum 'Ba1 Sr4 Zr1'
_space_group_name_H-M_alt 'P 1'
_space_group_IT_number 1
_cell_length_a 7.4757
_cell_length_b 7.4757
_cell_length_c 7.4757
_cell_angle_alpha 60.00
_cell_angle_beta 60.00
_cell_angle_gamma 60.00
loop_
_space_group_symop_operation_xyz
'x,y,z'
loop_
_atom_site_label
_atom_site_type_symbol
_atom_site_fract_x
_atom_site_fract_y
_atom_site_fract_z
Ba1 Ba 0.0000 0.0000 0.0000
Sr1 Sr 0.1289 0.6237 0.6237
Sr2 Sr 0.6237 0.1289 0.6237
Sr3 Sr 0.6237 0.6237 0.1289
Sr4 Sr 0.6237 0.6237 0.6237
Zr1 Zr 0.2500 0.2500 0.2500
```


[4]
For Ba4Ta5, a cell relaxed with GGA-PBE gives the simulated powder XRD pattern in this record (λ = 1.5418 Å (Cu Kα)).
Lines closer than 0.1° are merged.

Principal peaks in the range 10° ≤ 2θ ≤ 80°, in order of rising 2θ:
2θ 10.24, d 8.640, I 1000
2θ 14.50, d 6.110, I 304
2θ 25.60, d 3.480, I 137
2θ 29.54, d 3.024, I 712
2θ 31.05, d 2.880, I 171
2θ 36.26, d 2.477, I 499
2θ 37.53, d 2.396, I 204
2θ 39.95, d 2.257, I 179
2θ 41.82, d 2.160, I 157
2θ 42.04, d 2.149, I 268
2θ 52.03, d 1.758, I 114
2θ 55.97, d 1.643, I 129

Atomic structure:
```
data_Ba4Ta5
_chemical_formula_sum 'Ba4 Ta5'
_space_group_name_H-M_alt 'P 1'
_space_group_IT_number 1
_cell_length_a 8.9302
_cell_length_b 8.9302
_cell_length_c 8.9302
_cell_angle_alpha 93.66
_cell_angle_beta 93.66
_cell_angle_gamma 150.72
loop_
_space_group_symop_operation_xyz
'x,y,z'
loop_
_atom_site_label
_atom_site_type_symbol
_atom_site_fract_x
_atom_site_fract_y
_atom_site_fract_z
Ba1 Ba 0.0000 0.2933 0.2933
Ba2 Ba 0.0000 0.7067 0.7067
Ba3 Ba 0.2933 0.0000 0.2933
Ba4 Ba 0.7067 0.0000 0.7067
Ta1 Ta 0.0000 0.0000 0.0000
Ta2 Ta 0.3930 0.3930 0.7859
Ta3 Ta 0.3930 0.6070 0.0000
Ta4 Ta 0.6070 0.3930 0.0000
Ta5 Ta 0.6070 0.6070 0.2141
```


[5]
For Ba2TaTc2, a cell relaxed with GGA-PBE gives the simulated powder XRD pattern in this record (λ = 1.5418 Å (Cu Kα)).
Lines closer than 0.1° are merged.

Principal peaks in the range 10° ≤ 2θ ≤ 80°, in order of rising 2θ:
2θ 24.34, d 3.656, I 144
2θ 30.91, d 2.893, I 1000
2θ 33.81, d 2.651, I 804
2θ 38.18, d 2.357, I 106
2θ 42.90, d 2.108, I 294
2θ 45.80, d 1.981, I 96
2θ 49.88, d 1.828, I 99
2θ 53.78, d 1.705, I 303
2θ 54.95, d 1.671, I 102
2θ 56.80, d 1.621, I 178
2θ 59.32, d 1.558, I 134
2θ 74.38, d 1.275, I 93

Atomic structure:
```
data_Ba2TaTc2
_chemical_formula_sum 'Ba4 Ta2 Tc4'
_space_group_name_H-M_alt 'P 1'
_space_group_IT_number 1
_cell_length_a 6.6666
_cell_length_b 6.6666
_cell_length_c 5.7931
_cell_angle_alpha 90.00
_cell_angle_beta 90.00
_cell_angle_gamma 90.00
loop_
_space_group_symop_operation_xyz
'x,y,z'
loop_
_atom_site_label
_atom_site_type_symbol
_atom_site_fract_x
_atom_site_fract_y
_atom_site_fract_z
Ba1 Ba 0.1793 0.3207 0.0000
Ba2 Ba 0.3207 0.8207 0.0000
Ba3 Ba 0.6793 0.1793 0.0000
Ba4 Ba 0.8207 0.6793 0.0000
Ta1 Ta 0.0000 0.0000 0.5000
Ta2 Ta 0.5000 0.5000 0.5000
Tc1 Tc 0.1293 0.6293 0.5000
Tc2 Tc 0.3707 0.1293 0.5000
Tc3 Tc 0.6293 0.8707 0.5000
Tc4 Tc 0.8707 0.3707 0.5000
```


[6]
For BaTb6, a cell relaxed with GGA-PBE gives the simulated powder XRD pattern in this record (λ = 1.5418 Å (Cu Kα)).
Lines closer than 0.1° are merged.

Principal peaks in the range 10° ≤ 2θ ≤ 80°, in order of rising 2θ:
2θ 14.98, d 5.912, I 306
2θ 21.25, d 4.181, I 413
2θ 26.11, d 3.413, I 1000
2θ 37.25, d 2.414, I 435
2θ 40.36, d 2.235, I 629
2θ 43.28, d 2.090, I 375
2θ 48.70, d 1.870, I 183
2θ 51.25, d 1.783, I 157
2θ 60.66, d 1.527, I 190
2θ 62.87, d 1.478, I 248
2θ 69.27, d 1.356, I 192
2θ 75.41, d 1.261, I 168

Atomic structure:
```
data_BaTb6
_chemical_formula_sum 'Ba2 Tb12'
_space_group_name_H-M_alt 'P 1'
_space_group_IT_number 1
_cell_length_a 8.3613
_cell_length_b 8.3613
_cell_length_c 8.3613
_cell_angle_alpha 90.00
_cell_angle_beta 90.00
_cell_angle_gamma 90.00
loop_
_space_group_symop_operation_xyz
'x,y,z'
loop_
_atom_site_label
_atom_site_type_symbol
_atom_site_fract_x
_atom_site_fract_y
_atom_site_fract_z
Ba1 Ba 0.0000 0.0000 0.0000
Ba2 Ba 0.5000 0.5000 0.5000
Tb1 Tb 0.0000 0.2500 0.5000
Tb2 Tb 0.0000 0.5000 0.2500
Tb3 Tb 0.0000 0.5000 0.7500
Tb4 Tb 0.0000 0.7500 0.5000
Tb5 Tb 0.2500 0.0000 0.5000
Tb6 Tb 0.2500 0.5000 0.0000
Tb7 Tb 0.5000 0.0000 0.2500
Tb8 Tb 0.5000 0.0000 0.7500
Tb9 Tb 0.5000 0.2500 0.0000
Tb10 Tb 0.5000 0.7500 0.0000
Tb11 Tb 0.7500 0.0000 0.5000
Tb12 Tb 0.7500 0.5000 0.0000
```


[7]
For Ba3TbTe4, a cell relaxed with GGA-PBE gives the simulated powder XRD pattern in this record (λ = 1.5418 Å (Cu Kα)).
Lines closer than 0.1° are merged.

Principal peaks in the range 10° ≤ 2θ ≤ 80°, in order of rising 2θ:
2θ 26.12, d 3.411, I 1000
2θ 36.96, d 2.432, I 124
2θ 37.28, d 2.412, I 502
2θ 37.59, d 2.393, I 131
2θ 45.82, d 1.980, I 129
2θ 46.35, d 1.959, I 138
2θ 53.75, d 1.706, I 123
2θ 60.26, d 1.536, I 52
2θ 60.72, d 1.525, I 218
2θ 61.14, d 1.516, I 61
2θ 66.81, d 1.400, I 73
2θ 67.64, d 1.385, I 87

Atomic structure:
```
data_Ba3TbTe4
_chemical_formula_sum 'Ba6 Tb2 Te8'
_space_group_name_H-M_alt 'P 1'
_space_group_IT_number 1
_cell_length_a 9.7297
_cell_length_b 13.6388
_cell_length_c 4.7860
_cell_angle_alpha 90.00
_cell_angle_beta 90.00
_cell_angle_gamma 90.00
loop_
_space_group_symop_operation_xyz
'x,y,z'
loop_
_atom_site_label
_atom_site_type_symbol
_atom_site_fract_x
_atom_site_fract_y
_atom_site_fract_z
Ba1 Ba 0.0000 0.0000 0.0000
Ba2 Ba 0.2500 0.2500 0.5000
Ba3 Ba 0.2500 0.7500 0.5000
Ba4 Ba 0.5000 0.5000 0.0000
Ba5 Ba 0.7500 0.2500 0.5000
Ba6 Ba 0.7500 0.7500 0.5000
Tb1 Tb 0.0000 0.5000 0.0000
Tb2 Tb 0.5000 0.0000 0.0000
Te1 Te 0.0000 0.2659 0.0000
Te2 Te 0.0000 0.7341 0.0000
Te3 Te 0.2233 0.5000 0.5000
Te4 Te 0.2767 0.0000 0.5000
Te5 Te 0.5000 0.2341 0.0000
Te6 Te 0.5000 0.7659 0.0000
Te7 Te 0.7233 0.0000 0.5000
Te8 Te 0.7767 0.5000 0.5000
```


[8]
For Ba2Tb3Te6, a cell relaxed with GGA-PBE gives the simulated powder XRD pattern in this record (λ = 1.5418 Å (Cu Kα)).
Lines closer than 0.1° are merged.

Principal peaks in the range 10° ≤ 2θ ≤ 80°, in order of rising 2θ:
2θ 11.02, d 8.028, I 161
2θ 27.31, d 3.266, I 1000
2θ 34.82, d 2.576, I 77
2θ 37.80, d 2.380, I 376
2θ 40.19, d 2.244, I 369
2θ 45.18, d 2.007, I 62
2θ 49.27, d 1.849, I 196
2θ 56.35, d 1.633, I 117
2θ 62.06, d 1.496, I 97
2θ 65.39, d 1.427, I 166
2θ 71.45, d 1.320, I 115
2θ 73.03, d 1.296, I 63

Atomic structure:
```
data_Ba2Tb3Te6
_chemical_formula_sum 'Ba2 Tb3 Te6'
_space_group_name_H-M_alt 'P 1'
_space_group_IT_number 1
_cell_length_a 7.7740
_cell_length_b 7.7740
_cell_length_c 8.4397
_cell_angle_alpha 98.87
_cell_angle_beta 98.87
_cell_angle_gamma 120.01
loop_
_space_group_symop_operation_xyz
'x,y,z'
loop_
_atom_site_label
_atom_site_type_symbol
_atom_site_fract_x
_atom_site_fract_y
_atom_site_fract_z
Ba1 Ba 0.1661 0.8339 0.0000
Ba2 Ba 0.8339 0.1661 0.0000
Tb1 Tb 0.0000 0.0000 0.5000
Tb2 Tb 0.3318 0.6682 0.5000
Tb3 Tb 0.6682 0.3318 0.5000
Te1 Te 0.0775 0.4062 0.7182
Te2 Te 0.2653 0.2653 0.2832
Te3 Te 0.4062 0.0775 0.7182
Te4 Te 0.5938 0.9225 0.2818
Te5 Te 0.7347 0.7347 0.7168
Te6 Te 0.9225 0.5938 0.2818
```


[9]
For Ba4TbTl5, a cell relaxed with GGA-PBE gives the simulated powder XRD pattern in this record (λ = 1.5418 Å (Cu Kα)).
Lines closer than 0.1° are merged.

Principal peaks in the range 10° ≤ 2θ ≤ 80°, in order of rising 2θ:
2θ 29.93, d 2.985, I 1000
2θ 30.61, d 2.921, I 546
2θ 41.83, d 2.159, I 65
2θ 43.84, d 2.065, I 205
2θ 49.14, d 1.854, I 56
2θ 52.72, d 1.736, I 133
2θ 53.99, d 1.698, I 387
2θ 62.20, d 1.492, I 81
2θ 63.73, d 1.460, I 68
2θ 64.50, d 1.445, I 66
2θ 71.99, d 1.312, I 83
2θ 72.35, d 1.306, I 95

Atomic structure:
```
data_Ba4TbTl5
_chemical_formula_sum 'Ba4 Tb1 Tl5'
_space_group_name_H-M_alt 'P 1'
_space_group_IT_number 1
_cell_length_a 4.1303
_cell_length_b 4.1303
_cell_length_c 21.5934
_cell_angle_alpha 90.00
_cell_angle_beta 90.00
_cell_angle_gamma 90.00
loop_
_space_group_symop_operation_xyz
'x,y,z'
loop_
_atom_site_label
_atom_site_type_symbol
_atom_site_fract_x
_atom_site_fract_y
_atom_site_fract_z
Ba1 Ba 0.0000 0.0000 0.1031
Ba2 Ba 0.0000 0.0000 0.3129
Ba3 Ba 0.0000 0.0000 0.6871
Ba4 Ba 0.0000 0.0000 0.8969
Tb1 Tb 0.0000 0.0000 0.5000
Tl1 Tl 0.5000 0.5000 0.0000
Tl2 Tl 0.5000 0.5000 0.2057
Tl3 Tl 0.5000 0.5000 0.4217
Tl4 Tl 0.5000 0.5000 0.5783
Tl5 Tl 0.5000 0.5000 0.7943
```


[10]
For Ba3TbTl4, a cell relaxed with GGA-PBE gives the simulated powder XRD pattern in this record (λ = 1.5418 Å (Cu Kα)).
Lines closer than 0.1° are merged.

Principal peaks in the range 10° ≤ 2θ ≤ 80°, in order of rising 2θ:
2θ 30.17, d 2.962, I 1000
2θ 30.70, d 2.912, I 557
2θ 42.39, d 2.132, I 62
2θ 43.98, d 2.059, I 209
2θ 48.73, d 1.869, I 58
2θ 53.24, d 1.720, I 130
2θ 54.25, d 1.691, I 389
2θ 62.73, d 1.481, I 79
2θ 63.94, d 1.456, I 70
2θ 64.17, d 1.451, I 57
2θ 72.31, d 1.307, I 84
2θ 72.60, d 1.302, I 96

Atomic structure:
```
data_Ba3TbTl4
_chemical_formula_sum 'Ba3 Tb1 Tl4'
_space_group_name_H-M_alt 'P 1'
_space_group_IT_number 1
_cell_length_a 4.1180
_cell_length_b 4.1180
_cell_length_c 17.0583
_cell_angle_alpha 90.00
_cell_angle_beta 90.00
_cell_angle_gamma 90.00
loop_
_space_group_symop_operation_xyz
'x,y,z'
loop_
_atom_site_label
_atom_site_type_symbol
_atom_site_fract_x
_atom_site_fract_y
_atom_site_fract_z
Ba1 Ba 0.0000 0.0000 0.0000
Ba2 Ba 0.0000 0.0000 0.2632
Ba3 Ba 0.0000 0.0000 0.7368
Tb1 Tb 0.0000 0.0000 0.5000
Tl1 Tl 0.5000 0.5000 0.1283
Tl2 Tl 0.5000 0.5000 0.4013
Tl3 Tl 0.5000 0.5000 0.5987
Tl4 Tl 0.5000 0.5000 0.8717
```


[11]
For BaTbTm, a cell relaxed with GGA-PBE gives the simulated powder XRD pattern in this record (λ = 1.5418 Å (Cu Kα)).
Lines closer than 0.1° are merged.

Principal peaks in the range 10° ≤ 2θ ≤ 80°, in order of rising 2θ:
2θ 10.89, d 8.123, I 79
2θ 28.87, d 3.092, I 1000
2θ 33.08, d 2.708, I 144
2θ 33.65, d 2.663, I 356
2θ 36.52, d 2.460, I 58
2θ 47.91, d 1.899, I 205
2θ 48.33, d 1.883, I 129
2θ 56.53, d 1.628, I 88
2θ 57.28, d 1.608, I 292
2θ 59.82, d 1.546, I 106
2θ 77.51, d 1.232, I 71
2θ 78.15, d 1.223, I 60

Atomic structure:
```
data_BaTbTm
_chemical_formula_sum 'Ba2 Tb2 Tm2'
_space_group_name_H-M_alt 'P 1'
_space_group_IT_number 1
_cell_length_a 3.7666
_cell_length_b 3.7666
_cell_length_c 16.2462
_cell_angle_alpha 90.00
_cell_angle_beta 90.00
_cell_angle_gamma 90.00
loop_
_space_group_symop_operation_xyz
'x,y,z'
loop_
_atom_site_label
_atom_site_type_symbol
_atom_site_fract_x
_atom_site_fract_y
_atom_site_fract_z
Ba1 Ba 0.0000 0.0000 0.0000
Ba2 Ba 0.5000 0.5000 0.5000
Tb1 Tb 0.0000 0.0000 0.3173
Tb2 Tb 0.5000 0.5000 0.8173
Tm1 Tm 0.0000 0.0000 0.6818
Tm2 Tm 0.5000 0.5000 0.1818
```


[12]
For Ba8Tc, a cell relaxed with GGA-PBE gives the simulated powder XRD pattern in this record (λ = 1.5418 Å (Cu Kα)).
Lines closer than 0.1° are merged.

Principal peaks in the range 10° ≤ 2θ ≤ 80°, in order of rising 2θ:
2θ 12.16, d 7.281, I 72
2θ 25.96, d 3.432, I 468
2θ 26.72, d 3.336, I 1000
2θ 36.53, d 2.460, I 109
2θ 37.04, d 2.427, I 129
2θ 39.23, d 2.296, I 104
2θ 46.26, d 1.963, I 250
2θ 47.64, d 1.909, I 182
2θ 54.60, d 1.681, I 74
2θ 55.05, d 1.668, I 81
2θ 57.69, d 1.598, I 74
2θ 63.74, d 1.460, I 85

Atomic structure:
```
data_Ba8Tc
_chemical_formula_sum 'Ba8 Tc1'
_space_group_name_H-M_alt 'P 1'
_space_group_IT_number 1
_cell_length_a 10.5502
_cell_length_b 10.5502
_cell_length_c 10.5502
_cell_angle_alpha 92.72
_cell_angle_beta 92.72
_cell_angle_gamma 154.86
loop_
_space_group_symop_operation_xyz
'x,y,z'
loop_
_atom_site_label
_atom_site_type_symbol
_atom_site_fract_x
_atom_site_fract_y
_atom_site_fract_z
Ba1 Ba 0.0000 0.3334 0.3334
Ba2 Ba 0.0000 0.6666 0.6666
Ba3 Ba 0.3334 0.0000 0.3334
Ba4 Ba 0.3641 0.3641 0.7282
Ba5 Ba 0.3641 0.6359 0.0000
Ba6 Ba 0.6359 0.3641 0.0000
Ba7 Ba 0.6359 0.6359 0.2718
Ba8 Ba 0.6666 0.0000 0.6666
Tc1 Tc 0.0000 0.0000 0.0000
```


[13]
For BaV2Tc, a cell relaxed with GGA-PBE gives the simulated powder XRD pattern in this record (λ = 1.5418 Å (Cu Kα)).
Lines closer than 0.1° are merged.

Principal peaks in the range 10° ≤ 2θ ≤ 80°, in order of rising 2θ:
2θ 22.41, d 3.968, I 114
2θ 23.72, d 3.751, I 125
2θ 26.22, d 3.399, I 1000
2θ 33.70, d 2.660, I 258
2θ 35.60, d 2.522, I 83
2θ 40.85, d 2.209, I 301
2θ 41.75, d 2.164, I 283
2θ 45.74, d 1.984, I 110
2θ 53.95, d 1.699, I 264
2θ 55.87, d 1.646, I 238
2θ 58.00, d 1.590, I 106
2θ 65.79, d 1.419, I 146

Atomic structure:
```
data_BaV2Tc
_chemical_formula_sum 'Ba4 V8 Tc4'
_space_group_name_H-M_alt 'P 1'
_space_group_IT_number 1
_cell_length_a 5.3194
_cell_length_b 5.3194
_cell_length_c 15.8702
_cell_angle_alpha 90.00
_cell_angle_beta 90.00
_cell_angle_gamma 90.00
loop_
_space_group_symop_operation_xyz
'x,y,z'
loop_
_atom_site_label
_atom_site_type_symbol
_atom_site_fract_x
_atom_site_fract_y
_atom_site_fract_z
Ba1 Ba 0.0000 0.2500 0.3750
Ba2 Ba 0.0000 0.7500 0.6250
Ba3 Ba 0.5000 0.2500 0.1250
Ba4 Ba 0.5000 0.7500 0.8750
V1 V 0.0000 0.0000 0.0000
V2 V 0.0000 0.5000 0.0000
V3 V 0.2500 0.2500 0.7500
V4 V 0.2500 0.7500 0.2500
V5 V 0.5000 0.0000 0.5000
V6 V 0.5000 0.5000 0.5000
V7 V 0.7500 0.2500 0.7500
V8 V 0.7500 0.7500 0.2500
Tc1 Tc 0.0000 0.2500 0.8750
Tc2 Tc 0.0000 0.7500 0.1250
Tc3 Tc 0.5000 0.2500 0.6250
Tc4 Tc 0.5000 0.7500 0.3750
```


[14]
For Ba4Tc2W, a cell relaxed with GGA-PBE gives the simulated powder XRD pattern in this record (λ = 1.5418 Å (Cu Kα)).
Lines closer than 0.1° are merged.

Principal peaks in the range 10° ≤ 2θ ≤ 80°, in order of rising 2θ:
2θ 11.94, d 7.415, I 480
2θ 19.24, d 4.614, I 418
2θ 24.00, d 3.708, I 230
2θ 27.34, d 3.262, I 1000
2θ 29.92, d 2.986, I 222
2θ 33.18, d 2.700, I 465
2θ 36.69, d 2.449, I 306
2θ 39.05, d 2.307, I 384
2θ 43.51, d 2.080, I 436
2θ 46.36, d 1.959, I 157
2θ 59.87, d 1.545, I 169
2θ 63.79, d 1.459, I 180

Atomic structure:
```
data_Ba4Tc2W
_chemical_formula_sum 'Ba8 Tc4 W2'
_space_group_name_H-M_alt 'P 1'
_space_group_IT_number 1
_cell_length_a 6.5248
_cell_length_b 6.5248
_cell_length_c 14.8301
_cell_angle_alpha 90.00
_cell_angle_beta 90.00
_cell_angle_gamma 90.00
loop_
_space_group_symop_operation_xyz
'x,y,z'
loop_
_atom_site_label
_atom_site_type_symbol
_atom_site_fract_x
_atom_site_fract_y
_atom_site_fract_z
Ba1 Ba 0.0000 0.0000 0.2080
Ba2 Ba 0.0000 0.0000 0.7920
Ba3 Ba 0.0000 0.5000 0.0000
Ba4 Ba 0.0000 0.5000 0.5000
Ba5 Ba 0.5000 0.0000 0.0000
Ba6 Ba 0.5000 0.0000 0.5000
Ba7 Ba 0.5000 0.5000 0.2920
Ba8 Ba 0.5000 0.5000 0.7080
Tc1 Tc 0.0000 0.0000 0.4279
Tc2 Tc 0.0000 0.0000 0.5721
Tc3 Tc 0.5000 0.5000 0.0721
Tc4 Tc 0.5000 0.5000 0.9279
W1 W 0.0000 0.0000 0.0000
W2 W 0.5000 0.5000 0.5000
```


[15]
For BaZnTc, a cell relaxed with GGA-PBE gives the simulated powder XRD pattern in this record (λ = 1.5418 Å (Cu Kα)).
Lines closer than 0.1° are merged.

Principal peaks in the range 10° ≤ 2θ ≤ 80°, in order of rising 2θ:
2θ 18.19, d 4.876, I 21
2θ 23.14, d 3.843, I 51
2θ 29.60, d 3.018, I 1000
2θ 36.86, d 2.438, I 177
2θ 40.66, d 2.219, I 401
2θ 51.09, d 1.788, I 213
2θ 56.04, d 1.641, I 307
2θ 61.99, d 1.497, I 118
2θ 67.26, d 1.392, I 185
2θ 74.00, d 1.281, I 66
2θ 76.81, d 1.241, I 63
2θ 78.45, d 1.219, I 19

Atomic structure:
```
data_BaZnTc
_chemical_formula_sum 'Ba1 Zn1 Tc1'
_space_group_name_H-M_alt 'P 1'
_space_group_IT_number 1
_cell_length_a 4.4375
_cell_length_b 4.4375
_cell_length_c 4.8764
_cell_angle_alpha 90.00
_cell_angle_beta 90.00
_cell_angle_gamma 120.00
loop_
_space_group_symop_operation_xyz
'x,y,z'
loop_
_atom_site_label
_atom_site_type_symbol
_atom_site_fract_x
_atom_site_fract_y
_atom_site_fract_z
Ba1 Ba 0.0000 0.0000 0.0000
Zn1 Zn 0.3333 0.6667 0.5000
Tc1 Tc 0.6667 0.3333 0.5000
```